For Pr2MnTlO5, a structure optimized by DFT (GGA+U) gives the simulated powder diffraction line list in this record (Cu Kα, 1.54184 Å).

Principal peaks in the range 15° ≤ 2θ ≤ 90°, by angle:
index  2θ (°)  I_rel
1 1 1  23.72  31.4
2 0 1  30.06  100.0
0 0 2  30.45  33.1
2 1 1  32.81  36.9
2 2 0  36.87  24.7
2 1 2  42.52  26.8

Crystal structure
a b c (Å): 6.895 6.895 5.871
angles (deg): 90.00 90.00 90.00
Space group P4/mbm (No. 127)
Unique sites:
Pr (0.179, 0.321, 0.000) (multiplicity 4)
Mn (0.000, 0.500, 0.500) (multiplicity 2)
Tl (0.000, 0.000, 0.500) (multiplicity 2)
O (0.000, 0.000, 0.000) (multiplicity 2)
O (0.130, 0.630, 0.256) (multiplicity 8)